# NaSnHgCl5
Theoretical X-ray powder pattern, Cu Kα (weighted mean of Kα1 and Kα2). Input: the GGA-PBE geometry in Alexandria.

Crystal structure
Unit cell a=8.7528 b=15.9704 c=8.6357 alpha=90.00 beta=120.08 gamma=90.00
Space group C2/c (No. 15)
Symmetry-distinct sites (fractional):
Na 0.0000 0.0000 0.0000 [4 per cell]
Sn 0.0000 0.2672 0.2500 [4 per cell]
Hg 0.0000 0.3751 0.7500 [4 per cell]
Cl 0.0000 0.1078 0.2500 [4 per cell]
Cl 0.1295 0.2499 0.6265 [8 per cell]
Cl 0.2328 0.4261 0.0342 [8 per cell]

Largest 8 diffraction maxima, by intensity, 5° ≤ 2θ ≤ 70°:
d/Å, I_rel, index
4.349, 100, 1 3 -1
5.456, 54, 0 2 1
3.838, 34, 2 2 -1
3.766, 30, 2 0 -2
3.787, 27, 2 0 0
6.842, 26, 1 1 0
2.273, 24, 2 6 -1
2.507, 23, 0 6 1